The following is a simulated X-ray powder pattern of DyNpRu. It was derived from the PBE geometry in Alexandria, using Cu Kα.

Crystal structure
a = 3.327 Å, b = 3.399 Å, c = 13.002 Å
α = 94.11°, β = 90.03°, γ = 119.16°
Positions (direct):
Dy (0.000, 0.000, 0.000)
Dy (0.362, 0.723, 0.237)
Np (0.049, 0.085, 0.548)
Np (0.573, 0.135, 0.690)
Ru (0.290, 0.572, 0.834)
Ru (0.712, 0.417, 0.405)

Largest 8 diffraction maxima, sorted by position, 2θ from 10° to 80°:
hkl 0 1 1, 2θ = 31.58°, rel. 30; hkl 1 -1 2, 2θ = 33.34°, rel. 75; hkl -1 1 2, 2θ = 34.38°, rel. 100; hkl 1 0 -3, 2θ = 36.62°, rel. 31; hkl 1 0 3, 2θ = 38.07°, rel. 36; hkl 1 0 -4, 2θ = 40.92°, rel. 32; hkl -1 1 4, 2θ = 42.68°, rel. 39; hkl 1 -1 5, 2θ = 46.02°, rel. 32